Diffraction record for Sr5Bi3. The powder X-ray diffraction pattern is computed, not measured: it uses DFT lattice parameters and positions (GGA-PBE) and Cu Ka.

Structure:
```
data_Sr5Bi3
_chemical_formula_sum 'Sr20 Bi12'
_symmetry_space_group_name_H-M 'P n m a'
_symmetry_Int_Tables_number 62
_cell_length_a 13.647
_cell_length_b 10.342
_cell_length_c 8.946
_cell_angle_alpha 90.00
_cell_angle_beta 90.00
_cell_angle_gamma 90.00
loop_
_symmetry_equiv_pos_as_xyz
'x,y,z'
'-x,-y,-z'
'-x+1/2,-y,z+1/2'
'x+1/2,y,-z+1/2'
'x+1/2,-y+1/2,-z+1/2'
'-x+1/2,y+1/2,z+1/2'
'-x,y+1/2,-z'
'x,-y+1/2,z'
loop_
_atom_site_label
_atom_site_type_symbol
_atom_site_fract_x
_atom_site_fract_y
_atom_site_fract_z
Sr1 Sr 0.005 0.250 0.038
Sr2 Sr 0.078 0.040 0.692
Sr3 Sr 0.207 0.750 0.349
Sr4 Sr 0.226 0.250 0.323
Bi1 Bi 0.015 0.750 0.576
Bi2 Bi 0.171 0.512 0.064
```

Largest 12 diffraction maxima, low angle first, 10° ≤ 2θ ≤ 90°:
(1 2 1), 20.89 deg, I 605; (2 2 0), 21.56 deg, I 255; (3 0 1), 21.92 deg, I 623; (1 2 2), 27.16 deg, I 823; (4 0 1), 27.97 deg, I 1000; (2 2 2), 29.47 deg, I 842; (4 2 0), 31.41 deg, I 568; (0 4 0), 34.69 deg, I 526; (2 2 3), 37.22 deg, I 312; (5 2 1), 38.63 deg, I 345; (1 4 4), 54.68 deg, I 280; (5 2 4), 56.05 deg, I 321